Calculated powder diffractogram
Compound: K2Be2Si6O15
Radiation: Cu Ka
Structure: a crystal structure in the Materials Project, relaxed with GGA-PBE

Most intense lines, 10 to 90 degrees two-theta, in order of rising 2θ:
Position (°2θ), Rel. int., h k l
19.08, 31, 0 2 2
20.08, 29, 1 1 2
22.15, 19, 1 3 1
24.17, 100, 0 4 1
26.46, 11, 1 1 3
27.25, 32, 2 2 1
28.08, 45, 2 0 2
30.39, 62, 2 2 2
31.15, 16, 1 3 3
32.94, 17, 0 2 4
33.53, 21, 1 1 4
47.93, 16, 4 0 0

Cell and atoms:
Unit cell a=7.592 b=15.528 c=11.621 alpha=90.00 beta=90.00 gamma=90.00
Space group Cmc2_1 (No. 36)
Inequivalent atoms, fractional coordinates:
K: 0.000 0.097 0.000 [4 per cell]
K: 0.000 0.207 0.276 [4 per cell]
Be: 0.152 0.380 0.644 [8 per cell]
Si: 0.000 0.352 0.879 [4 per cell]
Si: 0.000 0.449 0.417 [4 per cell]
Si: 0.205 0.054 0.728 [8 per cell]
Si: 0.209 0.208 0.548 [8 per cell]
O: 0.000 0.071 0.771 [4 per cell]
O: 0.000 0.202 0.508 [4 per cell]
O: 0.000 0.352 0.741 [4 per cell]
O: 0.000 0.403 0.542 [4 per cell]
O: 0.000 0.448 0.934 [4 per cell]
O: 0.177 0.421 0.344 [8 per cell]
O: 0.180 0.304 0.926 [8 per cell]
O: 0.226 0.043 0.183 [8 per cell]
O: 0.235 0.203 0.105 [8 per cell]
O: 0.246 0.374 0.130 [8 per cell]